Computed powder XRD pattern
Compound: FeS2O8
Radiation: copper Kα
Structure: a GGA+U-relaxed structure
Lines closer than 0.1° are merged.

```
data_FeS2O8
_symmetry_space_group_name_H-M 'P 1'
_symmetry_Int_Tables_number 1
_cell_length_a 8.946
_cell_length_b 8.946
_cell_length_c 8.946
_cell_angle_alpha 55.71
_cell_angle_beta 55.71
_cell_angle_gamma 55.71
loop_
_symmetry_equiv_pos_as_xyz
'x,y,z'
loop_
_atom_site_label
_atom_site_fract_x
_atom_site_fract_y
_atom_site_fract_z
_atom_site_occupancy
Fe1 0.000 0.000 0.000 1
Fe2 0.205 0.205 0.205 1
Fe3 0.505 0.505 0.505 1
S1 0.108 0.398 0.815 1
S2 0.314 0.898 0.605 1
S3 0.398 0.815 0.108 1
S4 0.605 0.314 0.898 1
S5 0.815 0.108 0.398 1
S6 0.898 0.605 0.314 1
O1 0.009 0.077 0.378 1
O2 0.034 0.400 0.334 1
O3 0.060 0.246 0.845 1
O4 0.077 0.378 0.009 1
O5 0.116 0.980 0.737 1
O6 0.246 0.845 0.060 1
O7 0.317 0.362 0.687 1
O8 0.331 0.708 0.631 1
O9 0.334 0.034 0.400 1
O10 0.362 0.687 0.317 1
O11 0.378 0.009 0.077 1
O12 0.400 0.334 0.034 1
O13 0.467 0.869 0.645 1
O14 0.594 0.736 0.983 1
O15 0.631 0.331 0.708 1
O16 0.645 0.467 0.869 1
O17 0.687 0.317 0.362 1
O18 0.708 0.631 0.331 1
O19 0.736 0.983 0.594 1
O20 0.737 0.116 0.980 1
O21 0.845 0.060 0.246 1
O22 0.869 0.645 0.467 1
O23 0.980 0.737 0.116 1
O24 0.983 0.594 0.736 1
```

Largest 6 diffraction maxima, in order of rising 2θ, 10 to 80 degrees two-theta:
2θ/deg	I (rel.)
14.53	48
19.94	27
24.35	100
29.30	26
31.99	36
32.97	14

Computed powder XRD pattern
Compound: FeSO5
Radiation: copper Kα
Structure: a GGA+U-relaxed structure
Lines closer than 0.1° are merged.

```
data_FeSO5
_symmetry_space_group_name_H-M 'P 1'
_symmetry_Int_Tables_number 1
_cell_length_a 7.108
_cell_length_b 6.499
_cell_length_c 7.357
_cell_angle_alpha 90.00
_cell_angle_beta 90.00
_cell_angle_gamma 90.00
loop_
_symmetry_equiv_pos_as_xyz
'x,y,z'
loop_
_atom_site_label
_atom_site_fract_x
_atom_site_fract_y
_atom_site_fract_z
_atom_site_occupancy
Fe1 0.127 0.250 0.248 1
Fe2 0.373 0.750 0.748 1
Fe3 0.627 0.250 0.252 1
Fe4 0.873 0.750 0.752 1
S1 0.127 0.750 0.130 1
S2 0.373 0.250 0.630 1
S3 0.627 0.750 0.370 1
S4 0.873 0.250 0.870 1
O1 0.048 0.250 0.984 1
O2 0.123 0.750 0.678 1
O3 0.127 0.569 0.250 1
O4 0.127 0.931 0.250 1
O5 0.202 0.250 0.513 1
O6 0.298 0.750 0.013 1
O7 0.373 0.069 0.750 1
O8 0.373 0.431 0.750 1
O9 0.377 0.250 0.178 1
O10 0.452 0.750 0.484 1
O11 0.548 0.250 0.516 1
O12 0.623 0.750 0.822 1
O13 0.627 0.569 0.250 1
O14 0.627 0.931 0.250 1
O15 0.702 0.250 0.987 1
O16 0.798 0.750 0.487 1
O17 0.873 0.069 0.750 1
O18 0.873 0.431 0.750 1
O19 0.877 0.250 0.322 1
O20 0.952 0.750 0.016 1
```

Largest 6 diffraction maxima, in order of rising 2θ, 10 to 80 degrees two-theta:
2θ/deg	I (rel.)
18.21	28
24.19	37
27.45	77
27.88	100
39.26	23
56.68	26

Computed powder XRD pattern
Compound: FeSO3
Radiation: copper Kα
Structure: a GGA+U-relaxed structure
Lines closer than 0.1° are merged.

```
data_FeSO3
_symmetry_space_group_name_H-M 'P 1'
_symmetry_Int_Tables_number 1
_cell_length_a 7.930
_cell_length_b 7.937
_cell_length_c 7.940
_cell_angle_alpha 109.23
_cell_angle_beta 109.67
_cell_angle_gamma 109.44
loop_
_symmetry_equiv_pos_as_xyz
'x,y,z'
loop_
_atom_site_label
_atom_site_fract_x
_atom_site_fract_y
_atom_site_fract_z
_atom_site_occupancy
Fe1 0.000 0.000 0.000 1
Fe2 0.001 0.377 0.644 1
Fe3 0.179 0.499 0.323 1
Fe4 0.318 0.820 0.137 1
Fe5 0.677 0.556 0.499 1
Fe6 0.822 0.878 0.321 1
S1 0.173 0.834 0.676 1
S2 0.317 0.214 0.493 1
S3 0.355 0.395 0.005 1
S4 0.645 0.979 0.639 1
S5 0.682 0.164 0.150 1
S6 0.829 0.543 0.967 1
O1 0.053 0.605 0.123 1
O2 0.111 0.171 0.491 1
O3 0.171 0.625 0.601 1
O4 0.171 0.874 0.880 1
O5 0.199 0.303 0.072 1
O6 0.249 0.055 0.271 1
O7 0.279 0.529 0.929 1
O8 0.391 0.423 0.493 1
O9 0.442 0.816 0.433 1
O10 0.559 0.559 0.210 1
O11 0.606 0.955 0.151 1
O12 0.722 0.845 0.714 1
O13 0.749 0.324 0.372 1
O14 0.801 0.074 0.572 1
O15 0.828 0.750 0.042 1
O16 0.831 0.503 0.764 1
O17 0.888 0.205 0.153 1
O18 0.951 0.775 0.522 1
```

Largest 6 diffraction maxima, in order of rising 2θ, 10 to 80 degrees two-theta:
2θ/deg	I (rel.)
13.66	88
27.53	65
30.79	88
30.90	100
41.85	41
58.83	33

Computed powder XRD pattern
Compound: Fe2S3O17
Radiation: copper Kα
Structure: a GGA+U-relaxed structure
Lines closer than 0.1° are merged.

```
data_Fe2S3O17
_symmetry_space_group_name_H-M 'P 1'
_symmetry_Int_Tables_number 1
_cell_length_a 5.530
_cell_length_b 11.642
_cell_length_c 10.923
_cell_angle_alpha 90.00
_cell_angle_beta 95.10
_cell_angle_gamma 90.00
loop_
_symmetry_equiv_pos_as_xyz
'x,y,z'
loop_
_atom_site_label
_atom_site_fract_x
_atom_site_fract_y
_atom_site_fract_z
_atom_site_occupancy
Fe1 0.000 0.000 0.000 1
Fe2 0.000 0.500 0.000 1
Fe3 0.388 0.250 0.629 1
Fe4 0.612 0.750 0.371 1
S1 0.176 0.007 0.725 1
S2 0.176 0.493 0.725 1
S3 0.306 0.750 0.098 1
S4 0.694 0.250 0.902 1
S5 0.824 0.507 0.275 1
S6 0.824 0.993 0.275 1
O1 0.060 0.036 0.327 1
O2 0.060 0.464 0.327 1
O3 0.147 0.649 0.069 1
O4 0.147 0.851 0.069 1
O5 0.187 0.135 0.704 1
O6 0.187 0.365 0.704 1
O7 0.209 0.509 0.864 1
O8 0.209 0.991 0.864 1
O9 0.236 0.250 0.480 1
O10 0.247 0.078 0.090 1
O11 0.247 0.422 0.090 1
O12 0.354 0.750 0.236 1
O13 0.377 0.554 0.675 1
O14 0.377 0.946 0.675 1
O15 0.441 0.657 0.457 1
O16 0.441 0.843 0.457 1
O17 0.476 0.250 0.966 1
O18 0.524 0.750 0.034 1
O19 0.559 0.157 0.543 1
O20 0.559 0.343 0.543 1
O21 0.623 0.054 0.325 1
O22 0.623 0.446 0.325 1
O23 0.646 0.250 0.764 1
O24 0.753 0.578 0.910 1
O25 0.753 0.922 0.910 1
O26 0.764 0.750 0.520 1
O27 0.791 0.009 0.136 1
O28 0.791 0.491 0.136 1
O29 0.813 0.635 0.296 1
O30 0.813 0.865 0.296 1
O31 0.853 0.149 0.931 1
O32 0.853 0.351 0.931 1
O33 0.940 0.536 0.673 1
O34 0.940 0.964 0.673 1
```

Largest 6 diffraction maxima, in order of rising 2θ, 10 to 80 degrees two-theta:
2θ/deg	I (rel.)
11.13	100
18.69	54
19.00	36
22.22	73
24.19	24
28.94	29

Computed powder XRD pattern
Compound: FeS2O9
Radiation: copper Kα
Structure: a GGA+U-relaxed structure
Lines closer than 0.1° are merged.

```
data_FeS2O9
_symmetry_space_group_name_H-M 'P 1'
_symmetry_Int_Tables_number 1
_cell_length_a 4.951
_cell_length_b 4.963
_cell_length_c 8.602
_cell_angle_alpha 90.15
_cell_angle_beta 105.78
_cell_angle_gamma 119.81
loop_
_symmetry_equiv_pos_as_xyz
'x,y,z'
loop_
_atom_site_label
_atom_site_fract_x
_atom_site_fract_y
_atom_site_fract_z
_atom_site_occupancy
Fe1 0.000 0.000 0.000 1
S1 0.465 0.734 0.207 1
S2 0.535 0.266 0.793 1
O1 0.000 0.500 0.500 1
O2 0.176 0.408 0.143 1
O3 0.263 0.230 0.852 1
O4 0.374 0.966 0.144 1
O5 0.432 0.218 0.614 1
O6 0.568 0.782 0.386 1
O7 0.626 0.034 0.856 1
O8 0.737 0.770 0.148 1
O9 0.824 0.592 0.857 1
```

Largest 6 diffraction maxima, in order of rising 2θ, 10 to 80 degrees two-theta:
2θ/deg	I (rel.)
10.84	100
20.95	11
25.21	91
25.56	42
32.88	11
36.17	26

Computed powder XRD pattern
Compound: FeSO5
Radiation: copper Kα
Structure: a GGA+U-relaxed structure
Lines closer than 0.1° are merged.

```
data_FeSO5
_symmetry_space_group_name_H-M 'P 1'
_symmetry_Int_Tables_number 1
_cell_length_a 5.211
_cell_length_b 5.211
_cell_length_c 7.106
_cell_angle_alpha 109.58
_cell_angle_beta 109.58
_cell_angle_gamma 89.91
loop_
_symmetry_equiv_pos_as_xyz
'x,y,z'
loop_
_atom_site_label
_atom_site_fract_x
_atom_site_fract_y
_atom_site_fract_z
_atom_site_occupancy
Fe1 0.000 0.000 0.000 1
Fe2 0.000 0.000 0.500 1
S1 0.378 0.622 0.750 1
S2 0.622 0.378 0.250 1
O1 0.073 0.927 0.250 1
O2 0.262 0.738 0.578 1
O3 0.262 0.738 0.922 1
O4 0.318 0.320 0.659 1
O5 0.320 0.318 0.159 1
O6 0.680 0.682 0.841 1
O7 0.682 0.680 0.341 1
O8 0.738 0.262 0.078 1
O9 0.738 0.262 0.422 1
O10 0.927 0.073 0.750 1
```

Largest 6 diffraction maxima, in order of rising 2θ, 10 to 80 degrees two-theta:
2θ/deg	I (rel.)
18.21	29
18.69	30
24.17	36
27.46	77
27.88	100
56.68	26

> What is the formula in the second record?

FeSO5